ErCdPd6: computed powder X-ray diffraction pattern (Cu Kα, 1.54184 Å), based on a GGA-PBE-relaxed structure.

Structure:
Unit cell a=8.3535 b=5.3735 c=7.1874 alpha=90.00 beta=106.99 gamma=90.00
Space group C2/m (No. 12)
One atom of each set of equivalent atoms:
Er: 0.0000 0.0000 0.0000
Cd: 0.0000 0.5000 0.5000
Pd: 0.1390 0.0000 0.4364
Pd: 0.2064 0.2414 0.8007

Peak list (10 most intense, 2θ = 10–90°, most intense first)
hkl 2 0 2, 2θ = 39.23°, I 100
hkl 2 2 0, 2θ = 40.46°, I 96
hkl 0 2 2, 2θ = 42.72°, I 80
hkl 3 1 -1, 2θ = 36.48°, I 53
hkl 4 0 -1, 2θ = 43.30°, I 45
hkl 1 1 0, 2θ = 19.91°, I 37
hkl 1 1 -1, 2θ = 21.92°, I 29
hkl 2 4 2, 2θ = 83.35°, I 24
hkl 1 1 -3, 2θ = 41.26°, I 22
hkl 4 2 1, 2θ = 62.48°, I 22

DySn4Pd2: computed powder X-ray diffraction pattern (Cu Kα, 1.54184 Å), based on a GGA-PBE-relaxed structure.

Structure:
Unit cell a=19.0212 b=4.4193 c=7.5556 alpha=90.00 beta=90.00 gamma=90.00
Space group Pnma (No. 62)
One atom of each set of equivalent atoms:
Dy: 0.1436 0.2500 0.0370
Sn: 0.0341 0.7500 0.8690
Sn: 0.0661 0.2500 0.4925
Sn: 0.1822 0.7500 0.3293
Sn: 0.1918 0.7500 0.7538
Pd: 0.0410 0.7500 0.2373
Pd: 0.2169 0.2500 0.5479

Peak list (10 most intense, 2θ = 10–90°, most intense first)
hkl 2 1 2, 2θ = 32.57°, I 100
hkl 5 1 1, 2θ = 33.26°, I 83
hkl 0 2 0, 2θ = 40.84°, I 50
hkl 2 1 3, 2θ = 42.43°, I 44
hkl 7 0 1, 2θ = 35.09°, I 30
hkl 6 1 0, 2θ = 34.83°, I 23
hkl 1 1 2, 2θ = 31.51°, I 20
hkl 7 2 1, 2θ = 54.92°, I 17
hkl 12 1 0, 2θ = 62.22°, I 16
hkl 3 0 3, 2θ = 38.46°, I 15

LiMg2Mn: computed powder X-ray diffraction pattern (Cu Kα, 1.54184 Å), based on a GGA-PBE-relaxed structure.

Structure:
Unit cell a=3.2539 b=4.7883 c=9.5786 alpha=90.00 beta=90.00 gamma=90.00
Space group Imm2 (No. 44)
One atom of each set of equivalent atoms:
Li: 0.0000 0.0000 0.0000
Mg: 0.0000 0.0000 0.4855
Mg: 0.0000 0.5000 0.2514
Mn: 0.0000 0.5000 0.7356

Peak list (10 most intense, 2θ = 10–90°, most intense first)
hkl 1 1 2, 2θ = 38.36°, I 100
hkl 0 2 0, 2θ = 37.56°, I 53
hkl 0 0 2, 2θ = 18.53°, I 34
hkl 1 3 2, 2θ = 68.32°, I 31
hkl 0 1 1, 2θ = 20.74°, I 26
hkl 0 2 4, 2θ = 54.17°, I 17
hkl 1 1 0, 2θ = 33.29°, I 15
hkl 2 2 0, 2θ = 69.90°, I 15
hkl 1 0 1, 2θ = 28.98°, I 13
hkl 0 1 3, 2θ = 33.74°, I 10

Li2TiPO4F: computed powder X-ray diffraction pattern (Cu Kα, 1.54184 Å), based on a GGA-PBE-relaxed structure.

Structure:
Unit cell a=5.4662 b=5.4922 c=7.2514 alpha=106.15 beta=106.80 gamma=95.82
Space group P1 (No. 1)
One atom of each set of equivalent atoms:
Li: 0.0000 0.0000 0.0000
Li: 0.0763 0.3561 0.4266
Li: 0.3621 0.6338 0.2583
Li: 0.6101 0.6645 0.6639
Ti: 0.5437 0.1383 0.1300
Ti: 0.5492 0.1448 0.5870
P: 0.1780 0.4824 0.8553
P: 0.9184 0.7896 0.3582
O: 0.2152 0.8271 0.4718
O: 0.2166 0.2943 0.9821
O: 0.2655 0.7627 0.0102
O: 0.3435 0.4314 0.7116
O: 0.7522 0.8493 0.5011
O: 0.8268 0.5009 0.2283
O: 0.8846 0.9832 0.2343
O: 0.8898 0.4477 0.7217
F: 0.4121 0.3471 0.3707
F: 0.6449 0.0096 0.8528

Peak list (10 most intense, 2θ = 10–90°, most intense first)
hkl 1 1 0, 2θ = 26.79°, I 100
hkl 1 0 -2, 2θ = 26.93°, I 78
hkl 0 1 -2, 2θ = 27.05°, I 65
hkl 1 -1 1, 2θ = 25.88°, I 34
hkl -1 1 1, 2θ = 25.66°, I 30
hkl 0 1 -1, 2θ = 18.08°, I 27
hkl 2 -2 2, 2θ = 53.18°, I 26
hkl -3 1 2, 2θ = 54.05°, I 21
hkl 0 2 2, 2θ = 51.56°, I 20
hkl 1 2 0, 2θ = 42.13°, I 19

CeTm2Al: computed powder X-ray diffraction pattern (Cu Kα, 1.54184 Å), based on a GGA-PBE-relaxed structure.

Structure:
Unit cell a=6.5775 b=5.0289 c=6.7363 alpha=90.00 beta=106.88 gamma=90.00
Space group P2_1/m (No. 11)
One atom of each set of equivalent atoms:
Ce: 0.1376 0.2500 0.4068
Tm: 0.1822 0.2500 0.9114
Tm: 0.3763 0.7500 0.2426
Al: 0.3686 0.7500 0.7247

Peak list (10 most intense, 2θ = 10–90°, most intense first)
hkl 2 1 0, 2θ = 33.58°, I 100
hkl 1 1 -2, 2θ = 32.58°, I 58
hkl 0 2 0, 2θ = 35.71°, I 41
hkl 0 1 2, 2θ = 33.01°, I 37
hkl 1 0 2, 2θ = 34.76°, I 31
hkl 0 1 1, 2θ = 22.42°, I 29
hkl 1 2 2, 2θ = 50.69°, I 21
hkl 3 1 2, 2θ = 62.19°, I 19
hkl 1 1 0, 2θ = 22.63°, I 15
hkl 2 0 -1, 2θ = 27.70°, I 15

PrNd5Tm4: computed powder X-ray diffraction pattern (Cu Kα, 1.54184 Å), based on a GGA-PBE-relaxed structure.

Structure:
Unit cell a=18.6885 b=3.6167 c=10.1888 alpha=90.00 beta=106.49 gamma=90.00
Space group C2/m (No. 12)
One atom of each set of equivalent atoms:
Pr: 0.0000 0.0000 0.0000
Nd: 0.0000 0.0000 0.5000
Nd: 0.1017 0.5000 0.8036
Nd: 0.2004 0.0000 0.6004
Tm: 0.1016 0.5000 0.2980
Tm: 0.1999 0.0000 0.1002

Peak list (10 most intense, 2θ = 10–90°, most intense first)
hkl 6 0 -2, 2θ = 30.31°, I 100
hkl 5 1 0, 2θ = 35.25°, I 67
hkl 4 0 2, 2θ = 30.67°, I 32
hkl 4 2 2, 2θ = 60.23°, I 28
hkl 0 2 0, 2θ = 50.47°, I 24
hkl 10 0 0, 2θ = 50.94°, I 24
hkl 6 2 -2, 2θ = 60.02°, I 14
hkl 9 1 2, 2θ = 60.64°, I 14
hkl 2 2 -4, 2θ = 63.06°, I 12
hkl 1 3 -2, 2θ = 82.17°, I 12

PuTl2PbSe4: computed powder X-ray diffraction pattern (Cu Kα, 1.54184 Å), based on a GGA-PBE-relaxed structure.

Structure:
Unit cell a=7.5339 b=4.3036 c=7.9582 alpha=90.00 beta=108.05 gamma=90.00
Space group P2/m (No. 10)
One atom of each set of equivalent atoms:
Pu: 0.0000 0.0000 0.0000
Tl: 0.0000 0.5000 0.5000
Tl: 0.5000 0.0000 0.5000
Pb: 0.5000 0.5000 0.0000
Se: 0.2166 0.5000 0.2065
Se: 0.2365 0.0000 0.7850

Peak list (10 most intense, 2θ = 10–90°, most intense first)
hkl 1 1 1, 2θ = 28.55°, I 100
hkl 1 1 -3, 2θ = 39.95°, I 25
hkl 3 1 -1, 2θ = 41.64°, I 24
hkl 1 1 -1, 2θ = 25.11°, I 19
hkl 2 2 -2, 2θ = 51.54°, I 13
hkl 2 0 2, 2θ = 39.65°, I 13
hkl 0 0 2, 2θ = 23.52°, I 13
hkl 0 2 0, 2θ = 41.99°, I 12
hkl 2 2 2, 2θ = 59.09°, I 12
hkl 4 2 0, 2θ = 68.09°, I 11

CeNd4Te7: computed powder X-ray diffraction pattern (Cu Kα, 1.54184 Å), based on a GGA-PBE-relaxed structure.

Structure:
Unit cell a=14.7803 b=4.3677 c=13.5390 alpha=90.00 beta=104.57 gamma=90.00
Space group Cm (No. 8)
One atom of each set of equivalent atoms:
Ce: 0.0000 0.0000 0.0000
Nd: 0.1161 0.0000 0.4248
Nd: 0.2329 0.0000 0.8478
Nd: 0.3159 0.5000 0.2364
Nd: 0.4165 0.0000 0.6139
Te: 0.0782 0.0000 0.6410
Te: 0.1157 0.5000 0.9229
Te: 0.1541 0.0000 0.2081
Te: 0.2777 0.5000 0.4725
Te: 0.3571 0.5000 0.7717
Te: 0.3745 0.0000 0.0766
Te: 0.4548 0.0000 0.3767

Peak list (10 most intense, 2θ = 10–90°, most intense first)
hkl 3 1 -2, 2θ = 28.73°, I 100
hkl 3 1 -1, 2θ = 27.37°, I 88
hkl 3 1 1, 2θ = 29.67°, I 78
hkl 0 2 0, 2θ = 41.34°, I 68
hkl 2 0 3, 2θ = 26.45°, I 60
hkl 1 1 4, 2θ = 36.06°, I 54
hkl 3 1 0, 2θ = 27.70°, I 49
hkl 2 0 -4, 2θ = 26.93°, I 49
hkl 2 0 2, 2θ = 20.56°, I 47
hkl 6 0 -4, 2θ = 40.83°, I 47